The following is a simulated powder diffraction line list of CaAl2Si3O13. It was derived from a DFT-relaxed cell (PBE, the Materials Project), using CuKα.
No peak broadening, texture or thermal motion is included.

Crystal structure
```
data_CaAl2Si3O13
_space_group_name_H-M_alt 'C 1 c 1'
_space_group_IT_number 9
_space_group_name_Hall 'C -2yc'
_cell_length_a 6.6656
_cell_length_b 18.5674
_cell_length_c 9.4731
_cell_angle_alpha 90.00
_cell_angle_beta 105.81
_cell_angle_gamma 90.00
loop_
_atom_site_label
_atom_site_type_symbol
_atom_site_fract_x
_atom_site_fract_y
_atom_site_fract_z
Ca1 Ca 0.0000 0.0756 0.0000
Al1 Al 0.3038 0.0304 0.3951
Al2 Al 0.3646 0.2224 0.5416
Si1 Si 0.0277 0.1649 0.2792
Si2 Si 0.1737 0.0932 0.6724
Si3 Si 0.2371 0.3772 0.9780
O1 O 0.0741 0.3187 0.9961
O2 O 0.0857 0.4538 0.9354
O3 O 0.1604 0.2267 0.3802
O4 O 0.1651 0.0921 0.2631
O5 O 0.2030 0.4809 0.4166
O6 O 0.2203 0.0568 0.8363
O7 O 0.2209 0.0328 0.5569
O8 O 0.2922 0.1677 0.6702
O9 O 0.3339 0.3635 0.8415
O10 O 0.3960 0.1648 0.0522
O11 O 0.4167 0.3954 0.1283
O12 O 0.4323 0.3115 0.6066
O13 O 0.4496 0.2161 0.1365
```

Principal peaks in the range 15 to 90 degrees two-theta, sorted by position:
- (0 0 2), 4.550 Å, rel. 100.0
- (1 3 -1), 4.338 Å, rel. 46.4
- (1 1 -2), 4.199 Å, rel. 80.1
- (0 4 1), 4.136 Å, rel. 55.6
- (0 2 2), 4.091 Å, rel. 68.9
- (1 5 0), 3.213 Å, rel. 77.2
- (2 2 -1), 3.127 Å, rel. 68.5
- (2 0 -2), 3.046 Å, rel. 81.9
- (1 3 2), 2.921 Å, rel. 69.5
- (1 5 1), 2.909 Å, rel. 80.9
- (2 2 -2), 2.889 Å, rel. 52.6
- (1 5 -2), 2.813 Å, rel. 52.1